The following is a theoretical powder XRD pattern of TbPm6In6. It was derived from DFT lattice parameters and positions (PBE), using Cu Kα, 1.54184 Å.

Most intense lines, 2θ from 10° to 90°, in order of falling intensity:
hkl 0 0 4, 2θ 32.48, rel. 100.0
hkl 2 0 2, 2θ 36.44, rel. 67.5
hkl 2 2 0, 2θ 57.94, rel. 44.1
hkl 1 1 0, 2θ 28.03, rel. 35.3
hkl 2 2 4, 2θ 68.01, rel. 22.5
hkl 1 0 3, 2θ 29.20, rel. 21.5

Structural model:
```
data_TbPm6In6
_chemical_formula_sum 'Tb1 Pm6 In6'
_cell_length_a 6.3663
_cell_length_b 6.3663
_cell_length_c 11.0273
_cell_angle_alpha 90.00
_cell_angle_beta 90.00
_cell_angle_gamma 120.00
_symmetry_space_group_name_H-M 'P 1'
_symmetry_Int_Tables_number 1
loop_
_symmetry_equiv_pos_as_xyz
'x,y,z'
loop_
_atom_site_label
_atom_site_fract_x
_atom_site_fract_y
_atom_site_fract_z
Tb1 0.0000 0.0000 0.0000
Pm1 0.0000 0.0000 0.3328
Pm2 0.0000 0.0000 0.6672
Pm3 0.3333 0.6667 0.0000
Pm4 0.3333 0.6667 0.5000
Pm5 0.6667 0.3333 0.0000
Pm6 0.6667 0.3333 0.5000
In1 0.0000 0.5000 0.2463
In2 0.0000 0.5000 0.7537
In3 0.5000 0.0000 0.2463
In4 0.5000 0.0000 0.7537
In5 0.5000 0.5000 0.2463
In6 0.5000 0.5000 0.7537
```